Structure and theoretical X-ray powder pattern of Ca2NiC4 (the GGA-PBE geometry in Alexandria; Cu Kα (λ = 1.5418 Å)).
Intensities are scaled so that the largest is 100.

Structural model:
```
data_Ca2NiC4
_symmetry_space_group_name_H-M 'I b a m'
_symmetry_Int_Tables_number 72
_symmetry_space_group_name_Hall '-I 2 2c'
_cell_length_a 7.487
_cell_length_b 10.464
_cell_length_c 5.084
_cell_angle_alpha 90.00
_cell_angle_beta 90.00
_cell_angle_gamma 90.00
loop_
_atom_site_label
_atom_site_fract_x
_atom_site_fract_y
_atom_site_fract_z
Ca1 0.171 0.143 0.000
Ni1 0.000 0.500 0.250
C1 0.168 0.130 0.500
C2 0.171 0.416 0.000
```

Largest 10 diffraction maxima, by intensity, 2θ from 10° to 90°:
hkl 1 3 0, 2θ 28.23, rel. 100
hkl 1 1 0, 2θ 14.55, rel. 67
hkl 1 1 2, 2θ 38.37, rel. 55
hkl 3 1 0, 2θ 37.03, rel. 50
hkl 0 2 0, 2θ 16.95, rel. 45
hkl 3 3 2, 2θ 58.16, rel. 45
hkl 0 4 2, 2θ 50.03, rel. 43
hkl 2 0 2, 2θ 43.01, rel. 43
hkl 2 4 0, 2θ 42.14, rel. 39
hkl 2 2 0, 2θ 29.34, rel. 37



Structure and theoretical X-ray powder pattern of Ca2Ni5C (the GGA-PBE geometry in Alexandria; Cu Kα (λ = 1.5418 Å)).
Intensities are scaled so that the largest is 100.

Structural model:
```
data_Ca2Ni5C
_symmetry_space_group_name_H-M 'I 4 m m'
_symmetry_Int_Tables_number 107
_symmetry_space_group_name_Hall 'I 4 -2'
_cell_length_a 5.138
_cell_length_b 5.138
_cell_length_c 8.820
_cell_angle_alpha 90.00
_cell_angle_beta 90.00
_cell_angle_gamma 90.00
loop_
_atom_site_label
_atom_site_fract_x
_atom_site_fract_y
_atom_site_fract_z
Ca1 0.000 0.500 0.000
Ni1 0.000 0.000 0.453
Ni2 0.247 0.247 0.247
C1 0.000 0.000 0.683
```

Largest 10 diffraction maxima, by intensity, 2θ from 10° to 90°:
hkl 2 0 2, 2θ 40.64, rel. 100
hkl 2 2 0, 2θ 50.23, rel. 28
hkl 0 0 4, 2θ 40.93, rel. 21
hkl 1 0 1, 2θ 20.00, rel. 19
hkl 2 2 4, 2θ 66.72, rel. 18
hkl 4 2 2, 2θ 87.80, rel. 18
hkl 0 0 2, 2θ 20.14, rel. 16
hkl 2 0 6, 2θ 74.35, rel. 11
hkl 4 0 4, 2θ 87.99, rel. 8
hkl 4 0 0, 2θ 73.77, rel. 8



Please write out number 1 again, unchanged.
Structure and theoretical X-ray powder pattern of Ca2NiC4 (the GGA-PBE geometry in Alexandria; Cu Kα (λ = 1.5418 Å)).
Intensities are scaled so that the largest is 100.

Structural model:
```
data_Ca2NiC4
_symmetry_space_group_name_H-M 'I b a m'
_symmetry_Int_Tables_number 72
_symmetry_space_group_name_Hall '-I 2 2c'
_cell_length_a 7.487
_cell_length_b 10.464
_cell_length_c 5.084
_cell_angle_alpha 90.00
_cell_angle_beta 90.00
_cell_angle_gamma 90.00
loop_
_atom_site_label
_atom_site_fract_x
_atom_site_fract_y
_atom_site_fract_z
Ca1 0.171 0.143 0.000
Ni1 0.000 0.500 0.250
C1 0.168 0.130 0.500
C2 0.171 0.416 0.000
```

Largest 10 diffraction maxima, by intensity, 2θ from 10° to 90°:
hkl 1 3 0, 2θ 28.23, rel. 100
hkl 1 1 0, 2θ 14.55, rel. 67
hkl 1 1 2, 2θ 38.37, rel. 55
hkl 3 1 0, 2θ 37.03, rel. 50
hkl 0 2 0, 2θ 16.95, rel. 45
hkl 3 3 2, 2θ 58.16, rel. 45
hkl 0 4 2, 2θ 50.03, rel. 43
hkl 2 0 2, 2θ 43.01, rel. 43
hkl 2 4 0, 2θ 42.14, rel. 39
hkl 2 2 0, 2θ 29.34, rel. 37



Please write out number 2 again, unchanged.
Structure and theoretical X-ray powder pattern of Ca2Ni5C (the GGA-PBE geometry in Alexandria; Cu Kα (λ = 1.5418 Å)).
Intensities are scaled so that the largest is 100.

Structural model:
```
data_Ca2Ni5C
_symmetry_space_group_name_H-M 'I 4 m m'
_symmetry_Int_Tables_number 107
_symmetry_space_group_name_Hall 'I 4 -2'
_cell_length_a 5.138
_cell_length_b 5.138
_cell_length_c 8.820
_cell_angle_alpha 90.00
_cell_angle_beta 90.00
_cell_angle_gamma 90.00
loop_
_atom_site_label
_atom_site_fract_x
_atom_site_fract_y
_atom_site_fract_z
Ca1 0.000 0.500 0.000
Ni1 0.000 0.000 0.453
Ni2 0.247 0.247 0.247
C1 0.000 0.000 0.683
```

Largest 10 diffraction maxima, by intensity, 2θ from 10° to 90°:
hkl 2 0 2, 2θ 40.64, rel. 100
hkl 2 2 0, 2θ 50.23, rel. 28
hkl 0 0 4, 2θ 40.93, rel. 21
hkl 1 0 1, 2θ 20.00, rel. 19
hkl 2 2 4, 2θ 66.72, rel. 18
hkl 4 2 2, 2θ 87.80, rel. 18
hkl 0 0 2, 2θ 20.14, rel. 16
hkl 2 0 6, 2θ 74.35, rel. 11
hkl 4 0 4, 2θ 87.99, rel. 8
hkl 4 0 0, 2θ 73.77, rel. 8



What did the first record say?
Structure and theoretical X-ray powder pattern of Ca2NiC4 (the GGA-PBE geometry in Alexandria; Cu Kα (λ = 1.5418 Å)).
Intensities are scaled so that the largest is 100.

Structural model:
```
data_Ca2NiC4
_symmetry_space_group_name_H-M 'I b a m'
_symmetry_Int_Tables_number 72
_symmetry_space_group_name_Hall '-I 2 2c'
_cell_length_a 7.487
_cell_length_b 10.464
_cell_length_c 5.084
_cell_angle_alpha 90.00
_cell_angle_beta 90.00
_cell_angle_gamma 90.00
loop_
_atom_site_label
_atom_site_fract_x
_atom_site_fract_y
_atom_site_fract_z
Ca1 0.171 0.143 0.000
Ni1 0.000 0.500 0.250
C1 0.168 0.130 0.500
C2 0.171 0.416 0.000
```

Largest 10 diffraction maxima, by intensity, 2θ from 10° to 90°:
hkl 1 3 0, 2θ 28.23, rel. 100
hkl 1 1 0, 2θ 14.55, rel. 67
hkl 1 1 2, 2θ 38.37, rel. 55
hkl 3 1 0, 2θ 37.03, rel. 50
hkl 0 2 0, 2θ 16.95, rel. 45
hkl 3 3 2, 2θ 58.16, rel. 45
hkl 0 4 2, 2θ 50.03, rel. 43
hkl 2 0 2, 2θ 43.01, rel. 43
hkl 2 4 0, 2θ 42.14, rel. 39
hkl 2 2 0, 2θ 29.34, rel. 37